[1]
Diffraction record for Tb3Pr6Pu. The XRD peak list is simulated, not measured: it uses DFT lattice parameters and positions (PBE) and λ = 1.5418 Å (Cu Kα).

```
data_Tb3Pr6Pu
_symmetry_space_group_name_H-M 'P 1 21/c 1'
_symmetry_Int_Tables_number 14
_symmetry_space_group_name_Hall '-P 2ybc'
_cell_length_a 5.714
_cell_length_b 10.180
_cell_length_c 12.296
_cell_angle_alpha 90.00
_cell_angle_beta 101.98
_cell_angle_gamma 90.00
loop_
_atom_site_label
_atom_site_fract_x
_atom_site_fract_y
_atom_site_fract_z
Tb1 0.000 0.000 0.000
Tb2 0.082 0.165 0.634
Pr1 0.081 0.670 0.149
Pr2 0.386 0.503 0.739
Pr3 0.497 0.689 0.499
Pu1 0.500 0.000 0.500
```

Peak list (10 most intense, 2θ = 5–70°, in order of rising 2θ)
29.71°, I 21; 30.70°, I 39; 30.93°, I 100; 31.29°, I 33; 32.03°, I 26; 32.40°, I 25; 32.54°, I 28; 34.64°, I 54; 52.23°, I 17; 55.38°, I 20

=====

[2]
Diffraction record for Fe4As. The XRD peak list is simulated, not measured: it uses DFT lattice parameters and positions (PBE) and λ = 1.5418 Å (Cu Kα).

```
data_Fe4As
_symmetry_space_group_name_H-M 'I 4/m'
_symmetry_Int_Tables_number 87
_symmetry_space_group_name_Hall '-I 4'
_cell_length_a 5.643
_cell_length_b 5.643
_cell_length_c 3.800
_cell_angle_alpha 90.00
_cell_angle_beta 90.00
_cell_angle_gamma 90.00
loop_
_atom_site_label
_atom_site_fract_x
_atom_site_fract_y
_atom_site_fract_z
Fe1 0.103 0.301 0.000
As1 0.000 0.000 0.500
```

Peak list (5 most intense, 2θ = 5–70°, in order of rising 2θ)
22.28°, I 1; 28.32°, I 1; 43.03°, I 100; 47.88°, I 18; 51.19°, I 29

=====

[3]
Diffraction record for La8CuP3I4. The XRD peak list is simulated, not measured: it uses DFT lattice parameters and positions (PBE) and λ = 1.5418 Å (Cu Kα).

```
data_La8CuP3I4
_symmetry_space_group_name_H-M 'R -3 m'
_symmetry_Int_Tables_number 166
_symmetry_space_group_name_Hall '-R 3 2"'
_cell_length_a 8.6295
_cell_length_b 8.6295
_cell_length_c 23.3936
_cell_angle_alpha 90.00
_cell_angle_beta 90.00
_cell_angle_gamma 120.00
loop_
_atom_site_label
_atom_site_fract_x
_atom_site_fract_y
_atom_site_fract_z
La1 0.0000 0.0000 0.2315
La2 0.0046 0.5023 0.7670
Cu1 0.0000 0.0000 0.5000
P1 0.0000 0.5000 0.5000
I1 0.0000 0.0000 0.0000
I2 0.0000 0.5000 0.0000
```

Peak list (10 most intense, 2θ = 5–70°, in order of rising 2θ)
24.12°, I 11; 28.34°, I 100; 30.62°, I 24; 34.51°, I 11; 39.12°, I 28; 41.87°, I 39; 51.34°, I 19; 55.34°, I 17; 56.78°, I 10; 68.32°, I 16

=====

[4]
Diffraction record for TmBeOs. The XRD peak list is simulated, not measured: it uses DFT lattice parameters and positions (PBE) and λ = 1.5418 Å (Cu Kα).

```
data_TmBeOs
_symmetry_space_group_name_H-M 'I m m a'
_symmetry_Int_Tables_number 74
_symmetry_space_group_name_Hall '-I 2b 2'
_cell_length_a 5.164
_cell_length_b 5.202
_cell_length_c 7.116
_cell_angle_alpha 90.00
_cell_angle_beta 90.00
_cell_angle_gamma 90.00
loop_
_atom_site_label
_atom_site_fract_x
_atom_site_fract_y
_atom_site_fract_z
Tm1 0.000 0.250 0.129
Be1 0.250 0.250 0.750
Os1 0.000 0.000 0.500
```

Peak list (10 most intense, 2θ = 5–70°, in order of rising 2θ)
21.16°, I 39; 25.03°, I 29; 34.75°, I 52; 35.16°, I 46; 40.87°, I 100; 41.04°, I 18; 41.91°, I 57; 43.08°, I 19; 63.34°, I 18; 66.45°, I 24